(1)
Simulated powder X-ray diffraction pattern
Compound: SmH6Pd2Rh
Radiation: Cu Ka
Structure: a GGA-PBE-relaxed structure
Peak positions follow from Bragg's law for the DFT cell and can differ from measured ones.

Structural model:
Cell: 4.7169 8.6682 4.6242 Å, 90.00 90.00 90.00°
Space group Pnnm (No. 58)
Asymmetric unit:
1 Sm 0.0000 0.0000 0.0000
2 H 0.1475 0.3567 0.2335
3 H 0.1764 0.0871 0.5000
4 Pd 0.0601 0.7465 0.5000
5 Rh 0.0000 0.5000 0.0000

Principal peaks in the range 5 to 70 degrees two-theta, sorted by position:
hkl  two_theta  Rel. int.
1 1 1  28.93  4.7
1 2 1  34.14  100.0
2 0 0  38.16  14.9
0 0 2  38.95  18.4
0 4 0  41.68  14.9
2 0 2  55.67  10.0
2 4 0  57.78  8.9
0 4 2  58.36  11.3
3 2 1  66.40  8.2
1 2 3  67.48  13.5

---

(2)
Simulated powder X-ray diffraction pattern
Compound: LaDy12Y2
Radiation: Cu Ka
Structure: a GGA-PBE-relaxed structure
Peak positions follow from Bragg's law for the DFT cell and can differ from measured ones.

Structural model:
Cell: 7.0597 11.2638 24.8365 Å, 90.00 90.00 90.00°
Space group Cmme (No. 67)
Asymmetric unit:
1 La 0.0000 0.2500 0.0007
2 Dy 0.0000 0.0012 0.9177
3 Dy 0.0000 0.0112 0.4387
4 Dy 0.2408 0.2500 0.5854
5 Dy 0.2492 0.2500 0.1329
6 Dy 0.2500 0.0000 0.2024
7 Dy 0.2500 0.0000 0.3282
8 Y 0.0000 0.2500 0.2715
9 Y 0.0000 0.2500 0.7315

Principal peaks in the range 5 to 70 degrees two-theta, sorted by position:
hkl  two_theta  Rel. int.
2 0 2  26.25  22.6
0 2 7  29.76  51.7
2 2 2  30.75  65.3
0 4 0  31.79  100.0
0 2 8  32.94  50.3
2 2 4  33.25  45.7
2 2 6  37.08  52.7
2 0 11  47.82  23.0
2 4 11  58.57  25.0
4 4 0  62.06  22.3

---

(3)
Simulated powder X-ray diffraction pattern
Compound: Tb4AlAg
Radiation: Cu Ka
Structure: a GGA-PBE-relaxed structure
Peak positions follow from Bragg's law for the DFT cell and can differ from measured ones.

Structural model:
Cell: 12.0612 3.5885 8.6805 Å, 90.00 118.55 90.00°
Space group Cm (No. 8)
Asymmetric unit:
1 Tb 0.0000 0.0000 0.0000
2 Tb 0.0302 0.5000 0.3654
3 Tb 0.2650 0.5000 0.2588
4 Tb 0.3096 0.0000 0.6237
5 Al 0.2683 0.0000 0.9601
6 Ag 0.0413 0.0000 0.6643

Principal peaks in the range 5 to 70 degrees two-theta, sorted by position:
hkl  two_theta  Rel. int.
4 0 -1  29.96  18.2
1 1 1  30.39  80.2
2 0 -3  30.90  27.3
1 1 -2  32.49  18.5
3 1 -1  33.47  27.0
4 0 0  33.84  38.2
3 1 -2  35.38  100.0
1 1 2  38.08  17.5
7 1 -2  59.74  17.0
0 2 3  63.49  18.6

---

(4)
Simulated powder X-ray diffraction pattern
Compound: Li2CuP3H2O10
Radiation: Cu Ka
Structure: a GGA-PBE-relaxed structure
Peak positions follow from Bragg's law for the DFT cell and can differ from measured ones.

Structural model:
Cell: 7.2551 7.9553 8.0108 Å, 72.06 75.88 73.17°
Space group P-1 (No. 2)
Asymmetric unit:
1 Li 0.1072 0.3553 0.3550
2 Li 0.1731 0.6641 0.0336
3 Cu 0.2136 0.9536 0.5965
4 P 0.1958 0.0903 0.1090
5 P 0.2485 0.2753 0.7328
6 P 0.3195 0.7074 0.3389
7 H 0.4925 0.5886 0.7958
8 H 0.4966 0.2476 0.1493
9 O 0.0199 0.8761 0.8808
10 O 0.0870 0.4251 0.7878
11 O 0.2057 0.7588 0.5074
12 O 0.2172 0.1959 0.5950
13 O 0.2682 0.1926 0.1990
14 O 0.2752 0.5535 0.2958
15 O 0.2910 0.8744 0.1660
16 O 0.3054 0.1133 0.9030
17 O 0.4085 0.6834 0.8537
18 O 0.4490 0.3437 0.6599

Principal peaks in the range 5 to 70 degrees two-theta, sorted by position:
hkl  two_theta  Rel. int.
0 1 0  12.02  65.5
0 1 1  14.54  17.2
1 1 1  15.97  19.6
1 2 1  23.44  32.1
2 0 0  26.04  100.0
2 0 1  26.73  17.4
1 2 2  27.84  35.9
0 1 -2  29.33  37.9
1 -1 2  31.67  36.6
1 1 -2  32.69  19.9

---

(5)
Simulated powder X-ray diffraction pattern
Compound: SrLa5Tl4
Radiation: Cu Ka
Structure: a GGA-PBE-relaxed structure
Peak positions follow from Bragg's law for the DFT cell and can differ from measured ones.

Structural model:
Cell: 3.9440 3.9440 22.2279 Å, 90.00 90.00 90.00°
Space group P4/mmm (No. 123)
Asymmetric unit:
1 Sr 0.0000 0.0000 0.0000
2 La 0.5000 0.5000 0.1374
3 La 0.5000 0.5000 0.3176
4 La 0.5000 0.5000 0.5000
5 Tl 0.0000 0.0000 0.2238
6 Tl 0.0000 0.0000 0.4086

Principal peaks in the range 5 to 70 degrees two-theta, sorted by position:
hkl  two_theta  Rel. int.
0 0 2  7.96  14.5
1 0 5  30.29  100.0
1 1 0  32.09  68.9
1 0 6  33.18  53.3
0 0 11  44.85  10.7
2 0 0  46.03  26.7
2 1 5  56.10  35.6
1 1 11  56.22  22.0
2 1 6  57.91  21.1
2 0 11  66.22  13.4

---

(6)
Simulated powder X-ray diffraction pattern
Compound: PrSn2Ge2Pd7
Radiation: Cu Ka
Structure: a GGA-PBE-relaxed structure
Peak positions follow from Bragg's law for the DFT cell and can differ from measured ones.

Structural model:
Cell: 5.8292 5.7076 14.3044 Å, 90.00 100.16 90.00°
Space group C2/m (No. 12)
Asymmetric unit:
1 Pr 0.0000 0.0000 0.0000
2 Sn 0.1049 0.0000 0.3832
3 Ge 0.1095 0.5000 0.2605
4 Pd 0.0000 0.5000 0.0000
5 Pd 0.1502 0.5000 0.4344
6 Pd 0.1802 0.2488 0.8414

Principal peaks in the range 5 to 70 degrees two-theta, sorted by position:
hkl  two_theta  Rel. int.
0 0 1  6.28  42.1
0 0 5  31.78  42.2
0 2 1  32.00  29.3
2 0 -3  33.62  55.3
0 2 2  33.89  36.4
2 0 2  35.82  100.0
0 2 3  36.86  86.8
2 0 -5  40.73  46.7
1 1 5  41.27  25.7
2 2 -1  44.44  98.2

---

(7)
Simulated powder X-ray diffraction pattern
Compound: Pm4PdRu2
Radiation: Cu Ka
Structure: a GGA-PBE-relaxed structure
Peak positions follow from Bragg's law for the DFT cell and can differ from measured ones.

Structural model:
Cell: 6.8934 7.8088 7.9500 Å, 112.03 107.59 105.50°
Space group P1 (No. 1)
Asymmetric unit:
1 Pm 0.0000 0.0000 0.0000
2 Pm 0.0249 0.3268 0.4573
3 Pm 0.1106 0.6106 0.2213
4 Pm 0.2690 0.0309 0.6695
5 Pm 0.4520 0.8324 0.9951
6 Pm 0.5676 0.4478 0.2258
7 Pm 0.6785 0.4803 0.7639
8 Pm 0.7098 0.9714 0.5513
9 Pd 0.1280 0.3599 0.8611
10 Pd 0.3783 0.1101 0.3600
11 Ru 0.4389 0.6804 0.5967
12 Ru 0.7187 0.1943 0.9714
13 Ru 0.8576 0.8332 0.2493
14 Ru 0.9531 0.6943 0.6243

Principal peaks in the range 5 to 70 degrees two-theta, sorted by position:
hkl  two_theta  Rel. int.
1 2 -1  31.04  100.0
-1 1 2  31.25  62.2
2 1 -2  32.97  37.1
2 -1 1  33.40  81.9
2 -2 1  33.73  85.1
1 1 1  33.95  47.9
0 1 2  36.16  72.7
0 3 -2  36.47  27.9
1 -3 0  37.36  63.3
2 1 -3  38.37  48.9

---

(8)
Simulated powder X-ray diffraction pattern
Compound: RbNdTiNbO6F
Radiation: Cu Ka
Structure: a GGA-PBE-relaxed structure
Peak positions follow from Bragg's law for the DFT cell and can differ from measured ones.

Structural model:
Cell: 3.8526 3.8526 11.3759 Å, 90.00 90.00 90.00°
Space group P4mm (No. 99)
Asymmetric unit:
1 Rb 0.0000 0.0000 0.0000
2 Nd 0.0000 0.0000 0.4536
3 Ti 0.5000 0.5000 0.2684
4 Nb 0.5000 0.5000 0.6835
5 O 0.0000 0.5000 0.3216
6 O 0.0000 0.5000 0.6318
7 O 0.5000 0.5000 0.1185
8 O 0.5000 0.5000 0.8406
9 F 0.5000 0.5000 0.4763

Principal peaks in the range 5 to 70 degrees two-theta, sorted by position:
hkl  two_theta  Rel. int.
0 0 1  7.77  73.6
1 0 1  24.39  8.4
1 0 2  27.97  100.0
1 1 0  32.88  38.2
1 0 3  33.15  9.1
1 1 4  46.14  21.0
1 0 5  46.35  9.2
2 0 0  47.18  24.4
1 1 5  52.40  9.4
2 1 2  55.75  28.3

---

(9)
Simulated powder X-ray diffraction pattern
Compound: Mg2PtSe
Radiation: Cu Ka
Structure: a GGA-PBE-relaxed structure
Peak positions follow from Bragg's law for the DFT cell and can differ from measured ones.

Structural model:
Cell: 4.0891 3.5356 10.3312 Å, 90.00 90.00 90.00°
Space group Amm2 (No. 38)
Asymmetric unit:
1 Mg 0.0000 0.0000 0.0000
2 Mg 0.5000 0.0000 0.2978
3 Pt 0.0000 0.0000 0.7416
4 Se 0.5000 0.0000 0.5603

Principal peaks in the range 5 to 70 degrees two-theta, sorted by position:
hkl  two_theta  Rel. int.
0 0 2  17.17  46.8
1 0 0  21.73  16.8
0 1 1  26.65  72.4
1 0 2  27.83  62.0
0 0 4  34.67  100.0
1 0 4  41.35  32.0
1 1 3  42.81  78.4
2 0 0  44.30  22.6
0 1 5  51.21  19.3
2 1 1  52.45  23.0

---

(10)
Simulated powder X-ray diffraction pattern
Compound: La6Pm2Er5
Radiation: Cu Ka
Structure: a GGA-PBE-relaxed structure
Peak positions follow from Bragg's law for the DFT cell and can differ from measured ones.

Structural model:
Cell: 11.9697 20.6870 3.6501 Å, 90.00 90.00 90.00°
Space group Pbam (No. 55)
Asymmetric unit:
1 La 0.0463 0.0785 0.0000
2 La 0.0743 0.3631 0.0000
3 La 0.1825 0.6252 0.5000
4 Pm 0.1652 0.7852 0.0000
5 Er 0.0000 0.5000 0.5000
6 Er 0.0945 0.2228 0.5000
7 Er 0.2088 0.9432 0.5000

Principal peaks in the range 5 to 70 degrees two-theta, sorted by position:
hkl  two_theta  Rel. int.
1 6 0  26.93  21.6
4 1 0  30.18  50.2
1 4 1  30.90  44.3
1 7 0  31.15  100.0
2 3 1  31.50  81.1
2 4 1  33.57  40.5
3 6 0  34.38  25.7
3 3 1  35.79  24.3
0 0 2  49.97  20.2
1 7 2  60.06  33.6

---

Please write out number 4 again, unchanged.
Simulated powder X-ray diffraction pattern
Compound: Li2CuP3H2O10
Radiation: Cu Ka
Structure: a GGA-PBE-relaxed structure
Peak positions follow from Bragg's law for the DFT cell and can differ from measured ones.

Structural model:
Cell: 7.2551 7.9553 8.0108 Å, 72.06 75.88 73.17°
Space group P-1 (No. 2)
Asymmetric unit:
1 Li 0.1072 0.3553 0.3550
2 Li 0.1731 0.6641 0.0336
3 Cu 0.2136 0.9536 0.5965
4 P 0.1958 0.0903 0.1090
5 P 0.2485 0.2753 0.7328
6 P 0.3195 0.7074 0.3389
7 H 0.4925 0.5886 0.7958
8 H 0.4966 0.2476 0.1493
9 O 0.0199 0.8761 0.8808
10 O 0.0870 0.4251 0.7878
11 O 0.2057 0.7588 0.5074
12 O 0.2172 0.1959 0.5950
13 O 0.2682 0.1926 0.1990
14 O 0.2752 0.5535 0.2958
15 O 0.2910 0.8744 0.1660
16 O 0.3054 0.1133 0.9030
17 O 0.4085 0.6834 0.8537
18 O 0.4490 0.3437 0.6599

Principal peaks in the range 5 to 70 degrees two-theta, sorted by position:
hkl  two_theta  Rel. int.
0 1 0  12.02  65.5
0 1 1  14.54  17.2
1 1 1  15.97  19.6
1 2 1  23.44  32.1
2 0 0  26.04  100.0
2 0 1  26.73  17.4
1 2 2  27.84  35.9
0 1 -2  29.33  37.9
1 -1 2  31.67  36.6
1 1 -2  32.69  19.9

---

Repeat the seventh record exactly.
Simulated powder X-ray diffraction pattern
Compound: Pm4PdRu2
Radiation: Cu Ka
Structure: a GGA-PBE-relaxed structure
Peak positions follow from Bragg's law for the DFT cell and can differ from measured ones.

Structural model:
Cell: 6.8934 7.8088 7.9500 Å, 112.03 107.59 105.50°
Space group P1 (No. 1)
Asymmetric unit:
1 Pm 0.0000 0.0000 0.0000
2 Pm 0.0249 0.3268 0.4573
3 Pm 0.1106 0.6106 0.2213
4 Pm 0.2690 0.0309 0.6695
5 Pm 0.4520 0.8324 0.9951
6 Pm 0.5676 0.4478 0.2258
7 Pm 0.6785 0.4803 0.7639
8 Pm 0.7098 0.9714 0.5513
9 Pd 0.1280 0.3599 0.8611
10 Pd 0.3783 0.1101 0.3600
11 Ru 0.4389 0.6804 0.5967
12 Ru 0.7187 0.1943 0.9714
13 Ru 0.8576 0.8332 0.2493
14 Ru 0.9531 0.6943 0.6243

Principal peaks in the range 5 to 70 degrees two-theta, sorted by position:
hkl  two_theta  Rel. int.
1 2 -1  31.04  100.0
-1 1 2  31.25  62.2
2 1 -2  32.97  37.1
2 -1 1  33.40  81.9
2 -2 1  33.73  85.1
1 1 1  33.95  47.9
0 1 2  36.16  72.7
0 3 -2  36.47  27.9
1 -3 0  37.36  63.3
2 1 -3  38.37  48.9